Record 1
This entry pairs a crystal structure of Co2Pd6Au with its calculated powder X-ray diffraction pattern. Radiation: a wavelength of 1.5418 Å. Structure: a GGA-PBE-relaxed structure.
Peak positions follow from Bragg's law for the DFT cell and can differ from measured ones.

The 6 most intense peaks (2θ = 10–90°), most intense first:
- d 2.238, 2θ = 40.29°, intensity 1000
- d 2.517, 2θ = 35.67°, intensity 691
- d 2.046, 2θ = 44.28°, intensity 362
- d 2.109, 2θ = 42.88°, intensity 301
- d 2.120, 2θ = 42.64°, intensity 172
- d 1.215, 2θ = 78.77°, intensity 144

```
data_Co2Pd6Au
_space_group_name_H-M_alt 'P 1'
_space_group_IT_number 1
_cell_length_a 8.5131
_cell_length_b 8.5131
_cell_length_c 4.0913
_cell_angle_alpha 90.00
_cell_angle_beta 90.00
_cell_angle_gamma 70.64
loop_
_space_group_symop_operation_xyz
'x,y,z'
loop_
_atom_site_label
_atom_site_type_symbol
_atom_site_fract_x
_atom_site_fract_y
_atom_site_fract_z
_atom_site_occupancy
Co1 Co 0.1555 0.2806 0.2500 1
Co2 Co 0.2806 0.1555 0.7500 1
Co3 Co 0.7194 0.8445 0.2500 1
Co4 Co 0.8445 0.7194 0.7500 1
Pd1 Pd 0.0246 0.7765 0.2500 1
Pd2 Pd 0.1138 0.4853 0.7500 1
Pd3 Pd 0.2235 0.9754 0.2500 1
Pd4 Pd 0.3190 0.4881 0.2500 1
Pd5 Pd 0.4853 0.1138 0.2500 1
Pd6 Pd 0.4881 0.3190 0.7500 1
Pd7 Pd 0.5119 0.6810 0.2500 1
Pd8 Pd 0.5147 0.8862 0.7500 1
Pd9 Pd 0.6810 0.5119 0.7500 1
Pd10 Pd 0.7765 0.0246 0.7500 1
Pd11 Pd 0.8862 0.5147 0.2500 1
Pd12 Pd 0.9754 0.2235 0.7500 1
Au1 Au 0.2663 0.7337 0.7500 1
Au2 Au 0.7337 0.2663 0.2500 1
```

Record 2
This entry pairs a crystal structure of Pm3Dy13 with its calculated powder X-ray diffraction pattern. Radiation: a wavelength of 1.5418 Å. Structure: a GGA-PBE-relaxed structure.
Peak positions follow from Bragg's law for the DFT cell and can differ from measured ones.

The 6 most intense peaks (2θ = 10–90°), most intense first:
- d 2.752, 2θ = 32.54°, intensity 1000
- d 2.836, 2θ = 31.55°, intensity 241
- d 3.147, 2θ = 28.36°, intensity 238
- d 1.621, 2θ = 56.81°, intensity 205
- d 2.107, 2θ = 42.93°, intensity 156
- d 1.529, 2θ = 60.55°, intensity 151

```
data_Pm3Dy13
_space_group_name_H-M_alt 'P 1'
_space_group_IT_number 1
_cell_length_a 7.2789
_cell_length_b 8.4656
_cell_length_c 8.4656
_cell_angle_alpha 84.12
_cell_angle_beta 90.00
_cell_angle_gamma 90.00
loop_
_space_group_symop_operation_xyz
'x,y,z'
loop_
_atom_site_label
_atom_site_type_symbol
_atom_site_fract_x
_atom_site_fract_y
_atom_site_fract_z
_atom_site_occupancy
Pm1 Pm 0.0000 0.0000 0.0000 1
Pm2 Pm 0.2510 0.7475 0.7475 1
Pm3 Pm 0.7490 0.7475 0.7475 1
Dy1 Dy 0.0000 0.4147 0.9166 1
Dy2 Dy 0.0000 0.4974 0.4974 1
Dy3 Dy 0.0000 0.9166 0.4147 1
Dy4 Dy 0.2502 0.2494 0.2494 1
Dy5 Dy 0.2508 0.1677 0.6637 1
Dy6 Dy 0.2508 0.6637 0.1677 1
Dy7 Dy 0.5000 0.9999 0.9999 1
Dy8 Dy 0.5000 0.4133 0.9180 1
Dy9 Dy 0.5000 0.4974 0.4974 1
Dy10 Dy 0.5000 0.9180 0.4133 1
Dy11 Dy 0.7492 0.1677 0.6637 1
Dy12 Dy 0.7492 0.6637 0.1677 1
Dy13 Dy 0.7498 0.2494 0.2494 1
```

Record 3
This entry pairs a crystal structure of Pu4Ga12Tc with its calculated powder X-ray diffraction pattern. Radiation: a wavelength of 1.5418 Å. Structure: a GGA-PBE-relaxed structure.
Peak positions follow from Bragg's law for the DFT cell and can differ from measured ones.

The 6 most intense peaks (2θ = 10–90°), most intense first:
- d 2.501, 2θ = 35.91°, intensity 1000
- d 2.166, 2θ = 41.70°, intensity 614
- d 3.063, 2θ = 29.16°, intensity 553
- d 1.531, 2θ = 60.45°, intensity 383
- d 1.306, 2θ = 72.35°, intensity 341
- d 4.332, 2θ = 20.50°, intensity 284

```
data_Pu4Ga12Tc
_space_group_name_H-M_alt 'P 1'
_space_group_IT_number 1
_cell_length_a 7.5025
_cell_length_b 7.5025
_cell_length_c 7.5025
_cell_angle_alpha 109.47
_cell_angle_beta 109.47
_cell_angle_gamma 109.47
loop_
_space_group_symop_operation_xyz
'x,y,z'
loop_
_atom_site_label
_atom_site_type_symbol
_atom_site_fract_x
_atom_site_fract_y
_atom_site_fract_z
_atom_site_occupancy
Pu1 Pu 0.0000 0.0000 0.5000 1
Pu2 Pu 0.0000 0.5000 0.0000 1
Pu3 Pu 0.5000 0.0000 0.0000 1
Pu4 Pu 0.5000 0.5000 0.5000 1
Ga1 Ga 0.0000 0.2883 0.2883 1
Ga2 Ga 0.0000 0.7117 0.7117 1
Ga3 Ga 0.2500 0.5000 0.7500 1
Ga4 Ga 0.2500 0.7500 0.5000 1
Ga5 Ga 0.2883 0.0000 0.2883 1
Ga6 Ga 0.2883 0.2883 0.0000 1
Ga7 Ga 0.5000 0.2500 0.7500 1
Ga8 Ga 0.5000 0.7500 0.2500 1
Ga9 Ga 0.7117 0.0000 0.7117 1
Ga10 Ga 0.7117 0.7117 0.0000 1
Ga11 Ga 0.7500 0.2500 0.5000 1
Ga12 Ga 0.7500 0.5000 0.2500 1
Tc1 Tc 0.0000 0.0000 0.0000 1
```

Record 4
This entry pairs a crystal structure of KRbPbO2 with its calculated powder X-ray diffraction pattern. Radiation: a wavelength of 1.5418 Å. Structure: a GGA-PBE-relaxed structure.
Peak positions follow from Bragg's law for the DFT cell and can differ from measured ones.

The 6 most intense peaks (2θ = 10–90°), most intense first:
- d 3.073, 2θ = 29.06°, intensity 1000
- d 3.243, 2θ = 27.50°, intensity 890
- d 5.689, 2θ = 15.58°, intensity 829
- d 2.747, 2θ = 32.60°, intensity 733
- d 1.896, 2θ = 47.98°, intensity 649
- d 2.620, 2θ = 34.22°, intensity 519

```
data_KRbPbO2
_space_group_name_H-M_alt 'P 1'
_space_group_IT_number 1
_cell_length_a 6.6576
_cell_length_b 6.6576
_cell_length_c 8.2629
_cell_angle_alpha 109.80
_cell_angle_beta 109.80
_cell_angle_gamma 46.35
loop_
_space_group_symop_operation_xyz
'x,y,z'
loop_
_atom_site_label
_atom_site_type_symbol
_atom_site_fract_x
_atom_site_fract_y
_atom_site_fract_z
_atom_site_occupancy
K1 K 0.1564 0.1564 0.0539 1
K2 K 0.8436 0.8436 0.9461 1
Rb1 Rb 0.1526 0.1526 0.6103 1
Rb2 Rb 0.8474 0.8474 0.3897 1
Pb1 Pb 0.4838 0.4838 0.7877 1
Pb2 Pb 0.5162 0.5162 0.2123 1
O1 O 0.0256 0.0256 0.2543 1
O2 O 0.3681 0.3681 0.9467 1
O3 O 0.6319 0.6319 0.0533 1
O4 O 0.9744 0.9744 0.7457 1
```

Record 5
This entry pairs a crystal structure of Cd2PbCl6 with its calculated powder X-ray diffraction pattern. Radiation: a wavelength of 1.5418 Å. Structure: a GGA-PBE-relaxed structure.
Peak positions follow from Bragg's law for the DFT cell and can differ from measured ones.

The 6 most intense peaks (2θ = 10–90°), most intense first:
- d 4.313, 2θ = 20.59°, intensity 1000
- d 2.316, 2θ = 38.88°, intensity 559
- d 2.107, 2θ = 42.93°, intensity 306
- d 2.677, 2θ = 33.48°, intensity 293
- d 3.414, 2θ = 26.10°, intensity 289
- d 1.971, 2θ = 46.05°, intensity 233

```
data_Cd2PbCl6
_space_group_name_H-M_alt 'P 1'
_space_group_IT_number 1
_cell_length_a 6.8278
_cell_length_b 6.8278
_cell_length_c 6.3058
_cell_angle_alpha 90.00
_cell_angle_beta 90.00
_cell_angle_gamma 120.00
loop_
_space_group_symop_operation_xyz
'x,y,z'
loop_
_atom_site_label
_atom_site_type_symbol
_atom_site_fract_x
_atom_site_fract_y
_atom_site_fract_z
_atom_site_occupancy
Cd1 Cd 0.3333 0.6667 0.0000 1
Cd2 Cd 0.6667 0.3333 0.0000 1
Pb1 Pb 0.0000 0.0000 0.5000 1
Cl1 Cl 0.0000 0.3550 0.2368 1
Cl2 Cl 0.0000 0.6450 0.7632 1
Cl3 Cl 0.3550 0.0000 0.2368 1
Cl4 Cl 0.3550 0.3550 0.7632 1
Cl5 Cl 0.6450 0.0000 0.7632 1
Cl6 Cl 0.6450 0.6450 0.2368 1
```

Record 6
This entry pairs a crystal structure of TiPF with its calculated powder X-ray diffraction pattern. Radiation: a wavelength of 1.5418 Å. Structure: a GGA-PBE-relaxed structure.
Peak positions follow from Bragg's law for the DFT cell and can differ from measured ones.

The 6 most intense peaks (2θ = 10–90°), most intense first:
- d 4.104, 2θ = 21.65°, intensity 1000
- d 1.882, 2θ = 48.35°, intensity 542
- d 2.275, 2θ = 39.61°, intensity 458
- d 2.736, 2θ = 32.73°, intensity 376
- d 2.473, 2θ = 36.32°, intensity 343
- d 2.052, 2θ = 44.13°, intensity 298

```
data_TiPF
_space_group_name_H-M_alt 'P 1'
_space_group_IT_number 1
_cell_length_a 8.2082
_cell_length_b 8.2082
_cell_length_c 2.7338
_cell_angle_alpha 90.00
_cell_angle_beta 90.00
_cell_angle_gamma 90.00
loop_
_space_group_symop_operation_xyz
'x,y,z'
loop_
_atom_site_label
_atom_site_type_symbol
_atom_site_fract_x
_atom_site_fract_y
_atom_site_fract_z
_atom_site_occupancy
Ti1 Ti 0.2119 0.2410 0.0000 1
Ti2 Ti 0.2410 0.7881 0.5000 1
Ti3 Ti 0.7590 0.2119 0.5000 1
Ti4 Ti 0.7881 0.7590 0.0000 1
P1 P 0.2126 0.4796 0.5000 1
P2 P 0.4796 0.7874 0.0000 1
P3 P 0.5204 0.2126 0.0000 1
P4 P 0.7874 0.5204 0.5000 1
F1 F 0.0507 0.8013 0.0000 1
F2 F 0.1987 0.0507 0.5000 1
F3 F 0.8013 0.9493 0.5000 1
F4 F 0.9493 0.1987 0.0000 1
```

Record 7
This entry pairs a crystal structure of CeFeGe with its calculated powder X-ray diffraction pattern. Radiation: a wavelength of 1.5418 Å. Structure: a GGA-PBE-relaxed structure.
Peak positions follow from Bragg's law for the DFT cell and can differ from measured ones.

The 6 most intense peaks (2θ = 10–90°), most intense first:
- d 2.711, 2θ = 33.04°, intensity 1000
- d 2.480, 2θ = 36.21°, intensity 554
- d 2.832, 2θ = 31.60°, intensity 292
- d 1.953, 2θ = 46.50°, intensity 278
- d 2.096, 2θ = 43.15°, intensity 276
- d 3.425, 2θ = 26.02°, intensity 254

```
data_CeFeGe
_space_group_name_H-M_alt 'P 1'
_space_group_IT_number 1
_cell_length_a 5.6991
_cell_length_b 6.1683
_cell_length_c 8.2896
_cell_angle_alpha 90.00
_cell_angle_beta 129.73
_cell_angle_gamma 90.00
loop_
_space_group_symop_operation_xyz
'x,y,z'
loop_
_atom_site_label
_atom_site_type_symbol
_atom_site_fract_x
_atom_site_fract_y
_atom_site_fract_z
_atom_site_occupancy
Ce1 Ce 0.1820 0.1237 0.4015 1
Ce2 Ce 0.1820 0.3763 0.9015 1
Ce3 Ce 0.8180 0.6237 0.0985 1
Ce4 Ce 0.8180 0.8763 0.5985 1
Fe1 Fe 0.3163 0.6267 0.3243 1
Fe2 Fe 0.3163 0.8733 0.8243 1
Fe3 Fe 0.6837 0.1267 0.1757 1
Fe4 Fe 0.6837 0.3733 0.6757 1
Ge1 Ge 0.2952 0.6174 0.6030 1
Ge2 Ge 0.2952 0.8826 0.1030 1
Ge3 Ge 0.7048 0.1174 0.8970 1
Ge4 Ge 0.7048 0.3826 0.3970 1
```

Record 8
This entry pairs a crystal structure of Pr6Sm2Y3 with its calculated powder X-ray diffraction pattern. Radiation: a wavelength of 1.5418 Å. Structure: a GGA-PBE-relaxed structure.
Peak positions follow from Bragg's law for the DFT cell and can differ from measured ones.

The 6 most intense peaks (2θ = 10–90°), most intense first:
- d 2.876, 2θ = 31.09°, intensity 1000
- d 2.995, 2θ = 29.84°, intensity 633
- d 2.868, 2θ = 31.19°, intensity 546
- d 2.895, 2θ = 30.89°, intensity 533
- d 2.925, 2θ = 30.57°, intensity 486
- d 2.096, 2θ = 43.15°, intensity 185

```
data_Pr6Sm2Y3
_space_group_name_H-M_alt 'P 1'
_space_group_IT_number 1
_cell_length_a 6.6826
_cell_length_b 6.8576
_cell_length_c 8.9069
_cell_angle_alpha 78.35
_cell_angle_beta 72.97
_cell_angle_gamma 86.90
loop_
_space_group_symop_operation_xyz
'x,y,z'
loop_
_atom_site_label
_atom_site_type_symbol
_atom_site_fract_x
_atom_site_fract_y
_atom_site_fract_z
_atom_site_occupancy
Pr1 Pr 0.0404 0.4922 0.3033 1
Pr2 Pr 0.1010 0.2001 0.0277 1
Pr3 Pr 0.4067 0.8702 0.2108 1
Pr4 Pr 0.5933 0.1298 0.7892 1
Pr5 Pr 0.8990 0.7999 0.9723 1
Pr6 Pr 0.9596 0.5078 0.6967 1
Sm1 Sm 0.2160 0.0361 0.5786 1
Sm2 Sm 0.7840 0.9639 0.4214 1
Y1 Y 0.4128 0.6519 0.8612 1
Y2 Y 0.5000 0.5000 0.5000 1
Y3 Y 0.5872 0.3481 0.1388 1
```

Record 9
This entry pairs a crystal structure of Rb2AgP2Pd2 with its calculated powder X-ray diffraction pattern. Radiation: a wavelength of 1.5418 Å. Structure: a GGA-PBE-relaxed structure.
Peak positions follow from Bragg's law for the DFT cell and can differ from measured ones.

The 6 most intense peaks (2θ = 10–90°), most intense first:
- d 7.248, 2θ = 12.21°, intensity 1000
- d 3.274, 2θ = 27.23°, intensity 819
- d 2.799, 2θ = 31.97°, intensity 799
- d 2.938, 2θ = 30.43°, intensity 582
- d 2.227, 2θ = 40.50°, intensity 346
- d 2.835, 2θ = 31.55°, intensity 286

```
data_Rb2AgP2Pd2
_space_group_name_H-M_alt 'P 1'
_space_group_IT_number 1
_cell_length_a 11.9945
_cell_length_b 4.4550
_cell_length_c 8.5222
_cell_angle_alpha 90.00
_cell_angle_beta 121.74
_cell_angle_gamma 90.00
loop_
_space_group_symop_operation_xyz
'x,y,z'
loop_
_atom_site_label
_atom_site_type_symbol
_atom_site_fract_x
_atom_site_fract_y
_atom_site_fract_z
_atom_site_occupancy
Rb1 Rb 0.0695 0.0000 0.3412 1
Rb2 Rb 0.4305 0.5000 0.6588 1
Rb3 Rb 0.5695 0.5000 0.3412 1
Rb4 Rb 0.9305 0.0000 0.6588 1
Ag1 Ag 0.0000 0.5000 0.0000 1
Ag2 Ag 0.5000 0.0000 0.0000 1
P1 P 0.2381 0.5000 0.1763 1
P2 P 0.2619 0.0000 0.8237 1
P3 P 0.7381 0.0000 0.1763 1
P4 P 0.7619 0.5000 0.8237 1
Pd1 Pd 0.2352 0.5000 0.8919 1
Pd2 Pd 0.2648 0.0000 0.1081 1
Pd3 Pd 0.7352 0.0000 0.8919 1
Pd4 Pd 0.7648 0.5000 0.1081 1
```

Record 10
This entry pairs a crystal structure of Sn4SbPt2 with its calculated powder X-ray diffraction pattern. Radiation: a wavelength of 1.5418 Å. Structure: a GGA-PBE-relaxed structure.
Peak positions follow from Bragg's law for the DFT cell and can differ from measured ones.

The 6 most intense peaks (2θ = 10–90°), most intense first:
- d 2.510, 2θ = 35.78°, intensity 1000
- d 2.770, 2θ = 32.32°, intensity 752
- d 2.150, 2θ = 42.03°, intensity 548
- d 1.982, 2θ = 45.79°, intensity 542
- d 2.497, 2θ = 35.97°, intensity 513
- d 3.031, 2θ = 29.47°, intensity 490

```
data_Sn4SbPt2
_space_group_name_H-M_alt 'P 1'
_space_group_IT_number 1
_cell_length_a 9.0230
_cell_length_b 6.6185
_cell_length_c 8.8747
_cell_angle_alpha 69.50
_cell_angle_beta 43.40
_cell_angle_gamma 67.11
loop_
_space_group_symop_operation_xyz
'x,y,z'
loop_
_atom_site_label
_atom_site_type_symbol
_atom_site_fract_x
_atom_site_fract_y
_atom_site_fract_z
_atom_site_occupancy
Sn1 Sn 0.0475 0.9525 0.1621 1
Sn2 Sn 0.0688 0.4638 0.8255 1
Sn3 Sn 0.0879 0.4121 0.2025 1
Sn4 Sn 0.4121 0.0879 0.2975 1
Sn5 Sn 0.4245 0.6081 0.1812 1
Sn6 Sn 0.4638 0.0688 0.6419 1
Sn7 Sn 0.6081 0.4245 0.7862 1
Sn8 Sn 0.9525 0.0475 0.8379 1
Sb1 Sb 0.6137 0.6137 0.3863 1
Sb2 Sb 0.8637 0.8637 0.6363 1
Pt1 Pt 0.0405 0.4388 0.5390 1
Pt2 Pt 0.2684 0.7110 0.8112 1
Pt3 Pt 0.4388 0.0405 0.9816 1
Pt4 Pt 0.7110 0.2684 0.2095 1
```

Record 11
This entry pairs a crystal structure of Ac2Tb2Dy3 with its calculated powder X-ray diffraction pattern. Radiation: a wavelength of 1.5418 Å. Structure: a GGA-PBE-relaxed structure.
Peak positions follow from Bragg's law for the DFT cell and can differ from measured ones.

The 6 most intense peaks (2θ = 10–90°), most intense first:
- d 3.069, 2θ = 29.10°, intensity 1000
- d 2.944, 2θ = 30.36°, intensity 954
- d 2.490, 2θ = 36.08°, intensity 582
- d 1.768, 2θ = 51.69°, intensity 422
- d 2.512, 2θ = 35.74°, intensity 368
- d 1.544, 2θ = 59.92°, intensity 310

```
data_Ac2Tb2Dy3
_space_group_name_H-M_alt 'P 1'
_space_group_IT_number 1
_cell_length_a 5.0246
_cell_length_b 27.1309
_cell_length_c 3.6666
_cell_angle_alpha 90.00
_cell_angle_beta 90.00
_cell_angle_gamma 90.00
loop_
_space_group_symop_operation_xyz
'x,y,z'
loop_
_atom_site_label
_atom_site_type_symbol
_atom_site_fract_x
_atom_site_fract_y
_atom_site_fract_z
_atom_site_occupancy
Ac1 Ac 0.0000 0.2022 0.0000 1
Ac2 Ac 0.0000 0.7978 0.0000 1
Ac3 Ac 0.5000 0.2978 0.0000 1
Ac4 Ac 0.5000 0.7022 0.0000 1
Tb1 Tb 0.0000 0.3718 0.5000 1
Tb2 Tb 0.0000 0.6282 0.5000 1
Tb3 Tb 0.5000 0.1282 0.5000 1
Tb4 Tb 0.5000 0.8718 0.5000 1
Dy1 Dy 0.0000 0.0656 0.0000 1
Dy2 Dy 0.0000 0.5000 0.5000 1
Dy3 Dy 0.0000 0.9344 0.0000 1
Dy4 Dy 0.5000 0.0000 0.5000 1
Dy5 Dy 0.5000 0.4344 0.0000 1
Dy6 Dy 0.5000 0.5656 0.0000 1
```

Record 12
This entry pairs a crystal structure of In11Pb4 with its calculated powder X-ray diffraction pattern. Radiation: a wavelength of 1.5418 Å. Structure: a GGA-PBE-relaxed structure.
Peak positions follow from Bragg's law for the DFT cell and can differ from measured ones.

The 6 most intense peaks (2θ = 10–90°), most intense first:
- d 2.606, 2θ = 34.42°, intensity 1000
- d 2.878, 2θ = 31.07°, intensity 888
- d 2.545, 2θ = 35.27°, intensity 491
- d 2.656, 2θ = 33.74°, intensity 491
- d 2.797, 2θ = 32.00°, intensity 360
- d 2.725, 2θ = 32.86°, intensity 318

```
data_In11Pb4
_space_group_name_H-M_alt 'P 1'
_space_group_IT_number 1
_cell_length_a 11.8662
_cell_length_b 11.8662
_cell_length_c 6.1364
_cell_angle_alpha 90.00
_cell_angle_beta 90.00
_cell_angle_gamma 90.00
loop_
_space_group_symop_operation_xyz
'x,y,z'
loop_
_atom_site_label
_atom_site_type_symbol
_atom_site_fract_x
_atom_site_fract_y
_atom_site_fract_z
_atom_site_occupancy
In1 In 0.0000 0.0000 0.0000 1
In2 In 0.0685 0.2610 0.0000 1
In3 In 0.0942 0.0942 0.5000 1
In4 In 0.1814 0.8186 0.2509 1
In5 In 0.1814 0.8186 0.7491 1
In6 In 0.2390 0.5685 0.5000 1
In7 In 0.2610 0.0685 0.0000 1
In8 In 0.3186 0.3186 0.2491 1
In9 In 0.3186 0.3186 0.7509 1
In10 In 0.4058 0.5942 0.0000 1
In11 In 0.4315 0.7610 0.5000 1
In12 In 0.5000 0.5000 0.5000 1
In13 In 0.5685 0.2390 0.5000 1
In14 In 0.5942 0.4058 0.0000 1
In15 In 0.6814 0.6814 0.2491 1
In16 In 0.6814 0.6814 0.7509 1
In17 In 0.7390 0.9315 0.0000 1
In18 In 0.7610 0.4315 0.5000 1
In19 In 0.8186 0.1814 0.2509 1
In20 In 0.8186 0.1814 0.7491 1
In21 In 0.9058 0.9058 0.5000 1
In22 In 0.9315 0.7390 0.0000 1
Pb1 Pb 0.0432 0.3642 0.5000 1
Pb2 Pb 0.1358 0.5432 0.0000 1
Pb3 Pb 0.3642 0.0432 0.5000 1
Pb4 Pb 0.4568 0.8642 0.0000 1
Pb5 Pb 0.5432 0.1358 0.0000 1
Pb6 Pb 0.6358 0.9568 0.5000 1
Pb7 Pb 0.8642 0.4568 0.0000 1
Pb8 Pb 0.9568 0.6358 0.5000 1
```